For Ce5Mg4Zn4, DFT lattice parameters and positions (GGA-PBE) gives the calculated X-ray powder pattern in this record (Cu Kα (λ = 1.5418 Å)).
Kinematic intensities with the Lorentz-polarization factor, no thermal factor.

Main lines, sorted by position (10 to 90 degrees two-theta):
2theta, d/Å, I/Imax
10.70, 8.271, 54
25.75, 3.460, 52
30.01, 2.978, 100
32.47, 2.757, 25
33.78, 2.653, 85
34.28, 2.616, 57
37.21, 2.416, 64
39.06, 2.306, 39
52.93, 1.730, 33
61.07, 1.517, 22

Crystal structure
a = 8.5866 Å, b = 8.5866 Å, c = 8.5866 Å
α = 94.14°, β = 94.14°, γ = 148.84°
Positions (direct):
Ce: 0.0000 0.0000 0.0000
Ce: 0.3056 0.3775 0.6830
Ce: 0.3775 0.6944 0.0719
Ce: 0.6225 0.3056 0.9281
Ce: 0.6944 0.6225 0.3170
Mg: 0.1038 0.5842 0.6880
Mg: 0.4158 0.1038 0.5196
Mg: 0.5842 0.8962 0.4804
Mg: 0.8962 0.4158 0.3120
Zn: 0.0676 0.2556 0.3232
Zn: 0.2556 0.9324 0.1880
Zn: 0.7444 0.0676 0.8120
Zn: 0.9324 0.7444 0.6768